[1]
Diffraction record for LiPW2O8. The X-ray diffraction stick pattern is simulated, not measured: it uses the GGA+U geometry in the Materials Project and copper Kα.
Kinematic intensities with the Lorentz-polarization factor, no thermal factor.

Atomic structure:
```
data_LiPW2O8
_cell_length_a 6.8027
_cell_length_b 5.4050
_cell_length_c 17.9820
_cell_angle_alpha 90.00
_cell_angle_beta 90.61
_cell_angle_gamma 90.00
_symmetry_space_group_name_H-M 'P 1 21 1'
_symmetry_Int_Tables_number 4
_symmetry_space_group_name_Hall 'P 2yb'
loop_
_atom_site_label
_atom_site_type_symbol
_atom_site_fract_x
_atom_site_fract_y
_atom_site_fract_z
_atom_site_occupancy
Li1 Li 0.2419 0.0000 0.2972 1
Li2 Li 0.2479 0.9889 0.7945 1
P1 P 0.1962 0.4285 0.1925 1
P2 P 0.3011 0.4282 0.6899 1
W1 W 0.0045 0.9432 0.6248 1
W2 W 0.1604 0.9380 0.9535 1
W3 W 0.3400 0.9359 0.4534 1
W4 W 0.4970 0.9331 0.1274 1
O1 O 0.0036 0.4436 0.1468 1
O2 O 0.0045 0.1808 0.9958 1
O3 O 0.1354 0.3972 0.2748 1
O4 O 0.1496 0.6145 0.6615 1
O5 O 0.1515 0.7364 0.3890 1
O6 O 0.1626 0.9423 0.5427 1
O7 O 0.2034 0.2205 0.4121 1
O8 O 0.2151 0.1585 0.6894 1
O9 O 0.3066 0.1863 0.1770 1
O10 O 0.3206 0.1742 0.8927 1
O11 O 0.3229 0.6618 0.1846 1
O12 O 0.3235 0.6902 0.9076 1
O13 O 0.3385 0.9336 0.0444 1
O14 O 0.3516 0.4884 0.7718 1
O15 O 0.4755 0.6636 0.4903 1
O16 O 0.4970 0.4412 0.6468 1
```

The 8 most intense peaks (2θ from 10° to 90°), by angle:
- 4.521 Å, I = 34, (1 0 -3)
- 4.479 Å, I = 46, (1 0 3)
- 4.119 Å, I = 100, (1 1 -1)
- 3.839 Å, I = 35, (1 1 -2)
- 3.465 Å, I = 47, (1 1 -3)
- 3.446 Å, I = 34, (1 1 3)
- 2.702 Å, I = 41, (0 2 0)
- 2.621 Å, I = 50, (0 1 6)

***

[2]
Diffraction record for LiP4WO12. The X-ray diffraction stick pattern is simulated, not measured: it uses the GGA+U geometry in the Materials Project and copper Kα.
Kinematic intensities with the Lorentz-polarization factor, no thermal factor.

Atomic structure:
```
data_LiP4WO12
_cell_length_a 15.8028
_cell_length_b 7.4622
_cell_length_c 9.7734
_cell_angle_alpha 90.00
_cell_angle_beta 123.15
_cell_angle_gamma 90.00
_symmetry_space_group_name_H-M 'C 1 2/c 1'
_symmetry_Int_Tables_number 15
_symmetry_space_group_name_Hall '-C 2yc'
loop_
_atom_site_label
_atom_site_type_symbol
_atom_site_fract_x
_atom_site_fract_y
_atom_site_fract_z
_atom_site_occupancy
Li1 Li 0.0000 0.1885 0.2500 1
P1 P 0.1313 0.0739 0.6330 1
P2 P 0.1431 0.3281 0.1732 1
W1 W 0.0000 0.3637 0.7500 1
O1 O 0.0705 0.4079 0.2116 1
O2 O 0.0712 0.0639 0.4524 1
O3 O 0.1036 0.2016 0.7211 1
O4 O 0.1229 0.3603 0.0064 1
O5 O 0.1449 0.1203 0.2169 1
O6 O 0.2469 0.1101 0.6880 1
```

The 8 most intense peaks (2θ from 10° to 90°), by angle:
- 6.616 Å, I = 78, (2 0 0)
- 6.500 Å, I = 32, (1 1 0)
- 5.923 Å, I = 53, (1 1 -1)
- 4.303 Å, I = 62, (3 1 -1)
- 4.091 Å, I = 70, (0 0 2)
- 3.978 Å, I = 45, (1 1 -2)
- 3.344 Å, I = 100, (2 2 -1)
- 2.694 Å, I = 33, (4 2 -1)

***

[3]
Diffraction record for LiP3W2O12. The X-ray diffraction stick pattern is simulated, not measured: it uses the GGA+U geometry in the Materials Project and copper Kα.
Kinematic intensities with the Lorentz-polarization factor, no thermal factor.

Atomic structure:
```
data_LiP3W2O12
_cell_length_a 15.3117
_cell_length_b 8.9065
_cell_length_c 8.9129
_cell_angle_alpha 90.00
_cell_angle_beta 124.88
_cell_angle_gamma 90.00
_symmetry_space_group_name_H-M 'C 1 2 1'
_symmetry_Int_Tables_number 5
_symmetry_space_group_name_Hall 'C 2y'
loop_
_atom_site_label
_atom_site_type_symbol
_atom_site_fract_x
_atom_site_fract_y
_atom_site_fract_z
_atom_site_occupancy
Li1 Li 0.2347 0.0000 0.2424 1
P1 P 0.0000 0.1224 0.0000 1
P2 P 0.0000 0.2000 0.5000 1
P3 P 0.1444 0.5579 0.9987 1
P4 P 0.1461 0.7689 0.5008 1
W1 W 0.1084 0.4115 0.3255 1
W2 W 0.1089 0.9112 0.8248 1
O1 O 0.0407 0.4993 0.8254 1
O2 O 0.0416 0.8229 0.3273 1
O3 O 0.0630 0.2151 0.1754 1
O4 O 0.0645 0.1025 0.6735 1
O5 O 0.0800 0.3029 0.4960 1
O6 O 0.0855 0.0211 0.0085 1
O7 O 0.1514 0.5182 0.1729 1
O8 O 0.1518 0.7310 0.9953 1
O9 O 0.1555 0.8043 0.6767 1
O10 O 0.1609 0.5959 0.5065 1
O11 O 0.2363 0.8461 0.4973 1
O12 O 0.2370 0.4900 0.9958 1
```

The 8 most intense peaks (2θ from 10° to 90°), by angle:
- 6.294 Å, I = 16, (1 1 -1)
- 4.461 Å, I = 100, (1 1 1)
- 4.428 Å, I = 48, (3 1 -1)
- 3.147 Å, I = 41, (2 2 -2)
- 2.821 Å, I = 28, (3 1 -3)
- 2.564 Å, I = 38, (3 3 -1)
- 1.992 Å, I = 15, (2 4 -2)
- 1.678 Å, I = 12, (6 4 -2)